Theoretical powder X-ray diffraction pattern
Compound: Er2TmFe2Co7
Radiation: λ = 1.5418 Å (Cu Kα)
Structure: a cell relaxed with GGA-PBE

Largest 8 diffraction maxima, in order of rising 2θ, 2θ = 5–70°:
20.8°, I 16
33.6°, I 53
35.9°, I 59
36.7°, I 42
41.9°, I 42
42.8°, I 100
63.0°, I 18
69.2°, I 23

abc: 8.4225 8.4225 8.4225
angles: 34.57 34.57 34.57
Fractional positions:
Er: 0.1405 0.1405 0.1405
Er: 0.8595 0.8595 0.8595
Tm: 0.0000 0.0000 0.0000
Fe: 0.3343 0.3343 0.3343
Fe: 0.6657 0.6657 0.6657
Co: 0.0786 0.5839 0.5839
Co: 0.4161 0.4161 0.9214
Co: 0.4161 0.9214 0.4161
Co: 0.5000 0.5000 0.5000
Co: 0.5839 0.0786 0.5839
Co: 0.5839 0.5839 0.0786
Co: 0.9214 0.4161 0.4161